Entry 1:
This entry pairs a crystal structure of Cu3Sb4O6F6 with its computed powder diffractogram. Radiation: a wavelength of 1.5418 Å. Structure: a cell relaxed with PBE.
No peak broadening, texture or thermal motion is included.

Largest 10 diffraction maxima, by angle, 10 to 80 degrees two-theta:
Position (°2θ), intensity
26.74, 100
30.98, 17
34.74, 46
38.18, 13
47.23, 35
49.95, 24
55.10, 12
62.28, 19
66.80, 12
69.01, 15

Structural model:
```
19
Lattice="-4.083 4.083 4.083 4.083 -4.083 4.083 4.083 4.083 -4.083" Properties=species:S:1:pos:R:3 pbc="T T T"
Cu 4.083 0.000 0.000
Cu 0.000 4.083 0.000
Cu 0.000 0.000 4.083
Sb 1.336 1.336 -1.336
Sb 1.336 -1.336 1.336
Sb -1.336 1.336 1.336
Sb 2.747 2.747 2.747
O 2.069 0.000 0.000
O 6.097 0.000 0.000
O 0.000 2.069 0.000
O 0.000 0.000 2.069
O 0.000 6.097 0.000
O 0.000 0.000 6.097
F 4.083 2.041 0.000
F 4.083 0.000 2.041
F 2.041 4.083 0.000
F 2.041 0.000 4.083
F 0.000 4.083 2.041
F 0.000 2.041 4.083
```

***

Entry 2:
This entry pairs a crystal structure of NdBiPd with its computed powder diffractogram. Radiation: a wavelength of 1.5418 Å. Structure: a cell relaxed with PBE.
No peak broadening, texture or thermal motion is included.

Largest 10 diffraction maxima, by angle, 10 to 80 degrees two-theta:
Position (°2θ), intensity
22.42, 18
25.95, 34
37.03, 100
43.72, 9
45.77, 10
53.37, 18
58.59, 4
60.27, 14
66.73, 36
78.85, 11

Structural model:
```
12
Lattice="6.867 0.000 0.000 0.000 6.867 0.000 0.000 0.000 6.867" Properties=species:S:1:pos:R:3 pbc="T T T"
Nd 0.000 0.000 0.000
Nd 0.000 3.434 3.434
Nd 3.434 0.000 3.434
Nd 3.434 3.434 0.000
Bi 0.000 0.000 3.434
Bi 0.000 3.434 0.000
Bi 3.434 0.000 0.000
Bi 3.434 3.434 3.434
Pd 1.717 1.717 5.150
Pd 1.717 5.150 1.717
Pd 5.150 1.717 1.717
Pd 5.150 5.150 5.150
```

***

Entry 3:
This entry pairs a crystal structure of RbPdC4Br with its computed powder diffractogram. Radiation: a wavelength of 1.5418 Å. Structure: a cell relaxed with PBE.
No peak broadening, texture or thermal motion is included.

Largest 10 diffraction maxima, by angle, 10 to 80 degrees two-theta:
Position (°2θ), intensity
16.84, 49
23.62, 50
23.91, 100
33.24, 37
34.06, 61
41.36, 48
48.33, 43
55.17, 25
60.45, 19
65.96, 29

Structural model:
```
14
Lattice="-3.722 3.722 5.390 3.722 -3.722 5.390 3.722 3.722 -5.390" Properties=species:S:1:pos:R:3 pbc="T T T"
Rb 3.722 0.000 2.695
Rb 0.000 3.722 2.695
Pd 0.000 0.000 0.000
Pd 0.000 0.000 5.390
C 1.417 1.417 0.000
C 2.305 -2.305 5.390
C 2.303 2.303 0.000
C 1.419 -1.419 5.390
C -1.419 1.419 5.390
C 1.419 1.419 5.390
C -2.305 2.305 5.390
C 2.305 2.305 5.390
Br 0.000 0.000 2.768
Br 0.000 0.000 8.012
```